# 1
Computed PXRD pattern of Na3Bi for CuKα, from a cell relaxed with PBE.
No peak broadening, texture or thermal motion is included.

Principal peaks in the range 2θ from 10° to 90°, low angle first:
| 2θ (°) | Rel. int. | index |
| --- | --- | --- |
| 18.18 | 39 | 0 0 2 |
| 18.68 | 28 | 1 0 0 |
| 20.80 | 100 | 1 0 1 |
| 32.65 | 53 | 1 1 0 |
| 33.38 | 63 | 1 0 3 |
| 37.62 | 40 | 1 1 2 |
| 47.39 | 24 | 2 0 3 |
| 58.74 | 25 | 2 1 3 |

Structural model:
Cell lengths 5.4846, 5.4846, 9.7618 Å; angles 90.00, 90.00, 120.00 degrees
Space group P6_3/mmc (No. 194)
One atom of each set of equivalent atoms:
Na1 0.0000 0.0000 0.2500 (multiplicity 2)
Na2 0.3333 0.6667 0.0827 (multiplicity 4)
Bi1 0.3333 0.6667 0.7500 (multiplicity 2)

# 2
Computed PXRD pattern of Na3Bi for CuKα, from a cell relaxed with PBE.
No peak broadening, texture or thermal motion is included.

Principal peaks in the range 2θ from 10° to 90°, low angle first:
| 2θ (°) | Rel. int. | index |
| --- | --- | --- |
| 19.96 | 93 | 1 1 1 |
| 23.09 | 50 | 2 0 0 |
| 32.88 | 100 | 2 2 0 |
| 38.76 | 55 | 3 1 1 |
| 51.71 | 25 | 3 3 1 |
| 53.16 | 23 | 4 2 0 |
| 58.70 | 38 | 4 2 2 |
| 72.59 | 19 | 5 3 1 |

Structural model:
Cell lengths 7.7051, 7.7051, 7.7051 Å; angles 90.00, 90.00, 90.00 degrees
Space group Fm-3m (No. 225)
One atom of each set of equivalent atoms:
Na1 0.0000 0.0000 0.0000 (multiplicity 4)
Na2 0.2500 0.2500 0.2500 (multiplicity 8)
Bi1 0.0000 0.0000 0.5000 (multiplicity 4)